1.
For ErMnS, a cell relaxed with GGA-PBE gives the simulated powder diffraction line list in this record (Cu Ka).

Crystal structure
```
data_ErMnS
_space_group_name_H-M_alt 'P 4/n m m'
_space_group_IT_number 129
_cell_length_a 3.735
_cell_length_b 3.735
_cell_length_c 8.409
_cell_angle_alpha 90.00
_cell_angle_beta 90.00
_cell_angle_gamma 90.00
loop_
_space_group_symop_operation_xyz
'x,y,z'
'-x,-y,-z'
'-y+1/2,x,z'
'y+1/2,-x,-z'
'-x+1/2,-y+1/2,z'
'x+1/2,y+1/2,-z'
'y,-x+1/2,z'
'-y,x+1/2,-z'
'x+1/2,-y,-z'
'-x+1/2,y,z'
'-y,-x,-z'
'y,x,z'
'-x,y+1/2,-z'
'x,-y+1/2,z'
'y+1/2,x+1/2,-z'
'-y+1/2,-x+1/2,z'
loop_
_atom_site_label
_atom_site_type_symbol
_atom_site_fract_x
_atom_site_fract_y
_atom_site_fract_z
Er1 Er 0.250 0.250 0.204
Mn1 Mn 0.250 0.250 0.562
S1 S 0.250 0.250 0.859
```

The 10 most intense peaks (2θ from 10° to 80°), by angle:
two_theta	I (rel.)	(hkl)
21.1	28	0 0 2
26.1	73	1 0 1
31.9	28	0 0 3
32.1	33	1 0 2
33.9	100	1 1 0
40.2	59	1 0 3
47.3	37	1 1 3
48.8	35	2 0 0
59.5	30	2 0 3
65.0	27	2 1 3

2.
For Tb9Dy3Y2, a cell relaxed with GGA-PBE gives the simulated powder diffraction line list in this record (Cu Ka).

Crystal structure
```
data_Tb9Dy3Y2
_space_group_name_H-M_alt 'P -1'
_space_group_IT_number 2
_space_group_name_Hall '-P 1'
_cell_length_a 5.031
_cell_length_b 9.413
_cell_length_c 10.668
_cell_angle_alpha 67.84
_cell_angle_beta 76.44
_cell_angle_gamma 74.54
loop_
_atom_site_label
_atom_site_type_symbol
_atom_site_fract_x
_atom_site_fract_y
_atom_site_fract_z
Tb1 Tb 0.000 0.000 0.000
Tb2 Tb 0.214 0.643 0.929
Tb3 Tb 0.286 0.858 0.571
Tb4 Tb 0.357 0.071 0.214
Tb5 Tb 0.429 0.285 0.857
Dy1 Dy 0.071 0.214 0.643
Dy2 Dy 0.500 0.500 0.500
Y1 Y 0.143 0.429 0.286
```

The 10 most intense peaks (2θ from 10° to 80°), by angle:
two_theta	I (rel.)	(hkl)
10.4	2	0 1 0
19.4	1	1 0 1
30.8	99	1 1 -2
30.8	99	1 3 2
35.7	100	2 1 1
51.4	71	2 4 0
61.1	56	1 6 1
61.1	28	3 4 3
64.1	24	2 6 4
75.6	11	4 2 2

3.
For ScTlTe2Au, a cell relaxed with GGA-PBE gives the simulated powder diffraction line list in this record (Cu Ka).

Crystal structure
```
data_ScTlTe2Au
_space_group_name_H-M_alt 'P 1 2/c 1'
_space_group_IT_number 13
_space_group_name_Hall '-P 2yc'
_cell_length_a 8.588
_cell_length_b 4.923
_cell_length_c 7.453
_cell_angle_alpha 90.00
_cell_angle_beta 99.78
_cell_angle_gamma 90.00
loop_
_atom_site_label
_atom_site_type_symbol
_atom_site_fract_x
_atom_site_fract_y
_atom_site_fract_z
Sc1 Sc 0.000 0.001 0.250
Tl1 Tl 0.500 0.340 0.250
Te1 Te 0.249 0.159 0.551
Au1 Au 0.000 0.500 0.000
```

The 10 most intense peaks (2θ from 10° to 80°), by angle:
two_theta	I (rel.)	(hkl)
24.7	95	1 0 -2
25.1	100	1 1 1
27.8	88	2 1 0
28.9	29	2 1 -1
30.8	32	1 1 -2
33.6	65	1 1 2
37.0	36	3 1 -1
39.5	35	1 2 -1
41.2	60	3 1 -2
42.7	43	4 0 0

4.
For BaCaIn4, a cell relaxed with GGA-PBE gives the simulated powder diffraction line list in this record (Cu Ka).

Crystal structure
```
data_BaCaIn4
_space_group_name_H-M_alt 'I m m 2'
_space_group_IT_number 44
_space_group_name_Hall 'I 2 -2'
_cell_length_a 5.175
_cell_length_b 8.336
_cell_length_c 8.586
_cell_angle_alpha 90.00
_cell_angle_beta 90.00
_cell_angle_gamma 90.00
loop_
_atom_site_label
_atom_site_type_symbol
_atom_site_fract_x
_atom_site_fract_y
_atom_site_fract_z
Ba1 Ba 0.000 0.000 0.000
Ca1 Ca 0.000 0.500 0.916
In1 In 0.000 0.187 0.606
In2 In 0.000 0.313 0.283
```

The 10 most intense peaks (2θ from 10° to 80°), by angle:
two_theta	I (rel.)	(hkl)
14.8	36	0 1 1
29.1	63	1 1 2
29.4	100	1 2 1
29.9	36	0 2 2
33.9	54	0 3 1
34.7	57	2 0 0
35.9	83	1 0 3
42.5	27	1 3 2
49.3	37	2 3 1
57.1	32	1 3 4